# LiV2O3F
Calculated X-ray powder pattern, Cu Kα X-rays. Input: the PBE+U geometry in Alexandria.
Neutral-atom scattering factors, no anomalous dispersion.

Most intense lines, 15 to 90 degrees two-theta, low angle first:
18.0 deg, I 100.0, hkl 1 1 -1; 24.3 deg, I 34.3, hkl 3 1 0; 32.3 deg, I 27.5, hkl 1 3 0; 34.5 deg, I 15.5, hkl 3 1 1; 34.7 deg, I 16.3, hkl 5 1 -1; 34.9 deg, I 15.5, hkl 1 3 -1; 42.0 deg, I 44.6, hkl 2 0 2; 42.4 deg, I 84.6, hkl 6 0 -2; 61.2 deg, I 24.8, hkl 2 4 2; 61.5 deg, I 37.0, hkl 4 0 -4

Atomic structure:
a b c (Å): 13.5539 8.5242 6.0293
angles (deg): 90.00 115.89 90.00
Space group Cc (No. 9)
Inequivalent atoms, fractional coordinates:
Li  0.0000  0.1207  0.0000 x4
Li  0.2366  0.3677  0.2082 x4
V  0.1241  0.2444  0.5967 x4
V  0.2428  0.0008  0.9685 x4
V  0.3631  0.2721  0.8264 x4
V  0.4955  0.0074  0.7309 x4
O  0.1007  0.4832  0.5843 x4
O  0.1349  0.0079  0.6038 x4
O  0.2462  0.2386  0.9427 x4
O  0.2482  0.2346  0.4885 x4
O  0.3735  0.0197  0.8576 x4
O  0.4946  0.2458  0.7632 x4
F  0.3664  0.4943  0.3358 x4
F  0.4937  0.2486  0.2158 x4